No. 1
This entry pairs a crystal structure of MgSi6O12 with its calculated powder X-ray diffraction pattern. Radiation: Cu Kα X-rays. Structure: a crystal structure in the Materials Project, relaxed with PBE.

Principal peaks in the range 10° ≤ 2θ ≤ 90°, sorted by position:
2θ = 18.92°, I = 36; 2θ = 19.47°, I = 86; 2θ = 23.99°, I = 68; 2θ = 25.67°, I = 89; 2θ = 25.83°, I = 100; 2θ = 26.12°, I = 18

Atomic structure:
```
MgSi6O12
1.0
5.058 0.000 0.000
2.448 7.073 0.000
2.130 1.683 7.418
Mg Si O
1 6 12
direct
0.000 0.000 0.000
0.216 0.925 0.617
0.481 0.005 0.226
0.558 0.427 0.092
0.563 0.500 0.680
0.618 0.064 0.778
0.897 0.581 0.279
0.230 0.003 0.149
0.235 0.528 0.187
0.292 0.689 0.650
0.315 0.984 0.775
0.410 0.015 0.436
0.472 0.305 0.703
0.627 0.190 0.126
0.643 0.499 0.871
0.764 0.469 0.190
0.777 0.818 0.203
0.822 0.526 0.500
0.880 0.008 0.600
```

---

No. 2
This entry pairs a crystal structure of MgSi6O12 with its calculated powder X-ray diffraction pattern. Radiation: Cu Kα X-rays. Structure: a crystal structure in the Materials Project, relaxed with PBE.

Principal peaks in the range 10° ≤ 2θ ≤ 90°, sorted by position:
2θ = 18.55°, I = 35; 2θ = 19.29°, I = 34; 2θ = 24.38°, I = 77; 2θ = 24.80°, I = 100; 2θ = 25.59°, I = 80; 2θ = 25.94°, I = 90

Atomic structure:
```
MgSi6O12
1.0
6.984 -2.653 0.000
6.984 2.653 0.000
-5.642 0.000 7.303
Mg Si O
1 6 12
direct
0.000 0.000 0.000
0.185 0.482 0.093
0.518 0.482 0.000
0.518 0.815 0.907
0.554 0.446 0.500
0.590 0.050 0.567
0.950 0.410 0.433
0.024 0.214 0.242
0.228 0.622 0.035
0.260 0.308 0.584
0.291 0.539 0.314
0.365 0.148 0.986
0.378 0.772 0.965
0.461 0.709 0.686
0.644 0.179 0.512
0.692 0.740 0.416
0.786 0.976 0.758
0.821 0.356 0.488
0.852 0.635 0.014
```

---

No. 3
This entry pairs a crystal structure of MgSiO3 with its calculated powder X-ray diffraction pattern. Radiation: Cu Kα X-rays. Structure: a crystal structure in the Materials Project, relaxed with PBE.

Principal peaks in the range 10° ≤ 2θ ≤ 90°, sorted by position:
2θ = 36.06°, I = 24; 2θ = 36.53°, I = 100; 2θ = 43.16°, I = 23; 2θ = 52.45°, I = 35; 2θ = 52.80°, I = 58; 2θ = 66.67°, I = 44

Atomic structure:
```
MgSiO3
1.0
4.981 0.000 0.000
0.000 6.979 0.000
0.000 0.000 4.831
Mg Si O
4 4 12
direct
0.056 0.250 0.015
0.444 0.750 0.515
0.556 0.250 0.485
0.944 0.750 0.985
0.000 0.000 0.500
0.000 0.500 0.500
0.500 0.000 0.000
0.500 0.500 0.000
0.035 0.750 0.397
0.202 0.553 0.803
0.202 0.947 0.803
0.298 0.053 0.303
0.298 0.447 0.303
0.465 0.250 0.897
0.535 0.750 0.103
0.702 0.553 0.697
0.702 0.947 0.697
0.798 0.053 0.197
0.798 0.447 0.197
0.965 0.250 0.603
```